No. 1
Structure and computed XRD peak list of CaV2P2O8 (the GGA+U geometry in the Materials Project; CuKα).
Lines closer than 0.1° are merged.

Principal peaks in the range 2θ = 10–80°, low angle first:
two_theta	I (rel.)
11.34	55
18.69	70
27.35	100
30.91	36
31.53	65
31.70	53
31.93	80
34.71	77
35.84	71
49.50	41

```
CaV2P2O8
1.0
8.549 -2.505 0.000
8.549 2.505 0.000
-7.915 0.000 15.601
Ca V P O
4 8 8 32
Cartesian
-0.854 1.692 13.263
6.080 1.692 10.139
3.103 -1.692 5.462
10.038 -1.692 2.338
4.275 1.253 0.000
2.654 1.355 8.395
2.613 1.529 11.701
2.572 1.355 15.007
0.317 -1.253 7.801
6.612 -1.355 0.595
6.571 -1.529 3.900
6.529 -1.355 7.206
-0.230 1.379 9.868
5.276 1.093 6.031
7.865 1.093 1.770
5.456 1.379 13.534
3.728 -1.379 2.067
1.319 -1.093 13.831
3.907 -1.093 9.571
9.413 -1.379 5.733
5.327 2.002 4.800
-0.972 0.873 11.106
1.304 1.302 10.036
-0.612 0.447 8.658
7.814 2.002 3.001
3.937 1.418 6.738
6.666 1.324 0.773
-2.668 0.312 13.928
9.204 1.418 1.063
3.346 -0.447 0.857
1.289 -0.312 6.128
6.475 1.324 7.027
3.922 1.302 13.366
1.319 0.431 13.440
3.907 0.431 9.962
2.985 -0.873 3.306
6.199 0.873 12.295
5.277 -0.431 5.640
7.864 -0.431 2.161
5.262 -1.302 2.235
2.708 -1.324 8.574
7.895 0.312 9.473
5.838 0.447 14.744
-0.020 -1.418 14.538
11.852 -0.312 1.673
2.518 -1.324 14.828
5.246 -1.418 8.864
1.370 -2.002 12.600
9.796 -0.447 6.944
7.879 -1.302 5.565
10.156 -0.873 4.495
3.857 -2.002 10.802
```

No. 2
Structure and computed XRD peak list of RbScW2O8 (the GGA+U geometry in the Materials Project; CuKα).
Lines closer than 0.1° are merged.

Principal peaks in the range 2θ = 10–80°, low angle first:
two_theta	I (rel.)
13.71	27
17.29	69
24.10	27
27.61	95
28.21	48
29.82	100
31.79	36
33.48	34
49.64	22
62.08	25

```
RbScW2O8
1.0
5.459 -5.129 0.000
5.459 5.129 0.000
-4.786 0.000 5.630
Rb Sc W O
2 2 4 16
Cartesian
1.869 3.090 4.223
4.262 -3.090 1.408
4.262 2.877 1.408
1.869 -2.877 4.223
1.916 0.066 1.639
-0.478 -0.066 4.455
6.609 0.066 1.176
4.216 -0.066 3.991
-1.903 1.006 3.962
1.616 1.561 0.603
0.490 -1.006 1.147
0.716 0.706 3.167
-0.777 -1.561 3.418
5.097 1.180 0.270
3.109 -0.706 0.352
3.427 1.180 2.545
2.704 -1.180 3.085
3.022 0.706 5.279
1.034 -1.180 5.361
6.908 1.561 2.213
5.415 -0.706 2.464
5.641 1.006 4.483
4.515 -1.561 5.028
8.034 -1.006 1.668
```

No. 3
Structure and computed XRD peak list of LiMn3CrO8 (the GGA+U geometry in the Materials Project; CuKα).
Lines closer than 0.1° are merged.

Principal peaks in the range 2θ = 10–80°, low angle first:
two_theta	I (rel.)
17.40	100
35.93	26
42.83	44
46.60	4
55.56	15
60.76	7
63.56	8
63.73	4
66.45	8
66.62	4

```
LiMn3CrO8
1.0
5.075 -2.921 0.000
5.075 2.921 0.000
-3.393 0.000 5.096
Li Mn Cr O
1 3 1 8
Cartesian
0.000 0.000 0.000
0.841 1.460 2.548
0.841 -1.460 2.548
3.378 0.000 2.548
-1.697 0.000 2.548
2.501 1.439 3.541
0.041 0.000 3.513
1.662 0.000 1.535
4.256 1.439 1.555
2.501 -1.439 3.541
5.094 0.000 3.561
6.716 0.000 1.582
4.256 -1.439 1.555
```

No. 4
Structure and computed XRD peak list of MgV4O8 (the GGA+U geometry in the Materials Project; CuKα).
Lines closer than 0.1° are merged.

Principal peaks in the range 2θ = 10–80°, low angle first:
two_theta	I (rel.)
21.76	98
27.90	100
34.83	43
34.99	24
36.09	22
37.05	25
38.04	19
46.34	20
53.89	22
62.86	16

```
MgV4O8
1.0
5.394 0.000 0.000
1.188 5.604 0.000
1.225 2.653 5.128
Mg V O
1 4 8
Cartesian
0.000 0.000 0.000
2.986 6.357 2.213
3.057 4.883 4.764
5.533 7.159 4.373
4.578 3.240 2.034
2.041 6.372 4.037
1.952 0.284 0.089
3.228 4.545 2.862
3.282 3.022 0.232
3.430 1.676 2.644
5.273 4.602 1.107
5.432 3.159 3.641
5.894 1.859 1.130
```

No. 5
Structure and computed XRD peak list of Li9Mn2Co5O16 (the GGA+U geometry in the Materials Project; CuKα).
Lines closer than 0.1° are merged.

Principal peaks in the range 2θ = 10–80°, low angle first:
two_theta	I (rel.)
18.33	100
34.90	18
36.00	13
36.79	12
41.97	32
43.63	28
44.84	25
62.15	16
62.88	8
63.31	8

```
Li9Mn2Co5O16
1.0
2.989 0.000 0.000
0.356 9.778 0.000
0.171 2.208 9.882
Li Mn Co O
9 2 5 16
Cartesian
0.000 0.000 0.000
0.309 6.541 7.413
0.237 5.428 2.519
0.367 8.200 3.803
1.752 7.573 1.296
1.722 4.360 8.635
1.857 8.695 6.078
1.674 3.319 3.780
3.392 10.772 4.946
1.859 10.239 2.533
3.068 2.712 1.217
3.184 3.823 6.178
0.430 9.250 8.654
1.973 11.424 7.422
1.769 6.065 4.917
1.696 4.898 0.009
0.352 9.110 1.957
0.459 10.070 6.911
0.406 7.209 5.535
0.364 6.224 0.548
1.403 1.371 0.724
1.715 5.173 6.631
1.949 10.617 9.178
1.767 6.665 3.285
1.885 9.575 4.227
1.650 2.474 5.677
1.903 7.931 8.180
1.750 4.052 1.760
3.186 5.802 9.347
3.098 4.625 4.442
3.012 1.754 2.966
3.130 3.023 7.936
```

No. 6
Structure and computed XRD peak list of MgV2CdO6 (the GGA+U geometry in the Materials Project; CuKα).
Lines closer than 0.1° are merged.

Principal peaks in the range 2θ = 10–80°, low angle first:
two_theta	I (rel.)
12.74	22
17.12	100
22.57	21
24.17	92
26.94	34
29.26	45
32.66	43
34.55	42
34.77	30
46.08	44

```
MgV2CdO6
1.0
5.213 -1.970 0.000
5.213 1.970 0.000
-0.808 0.000 6.946
Mg V Cd O
1 2 1 6
Cartesian
0.000 0.000 0.000
0.081 0.000 3.515
6.252 0.000 5.649
7.259 0.000 1.783
0.968 0.000 1.826
0.703 0.000 5.375
4.763 0.000 6.708
5.797 0.000 3.754
7.649 0.000 6.723
8.832 0.000 3.353
```

No. 7
Structure and computed XRD peak list of LiCo3O2F6 (the GGA+U geometry in the Materials Project; CuKα).
Lines closer than 0.1° are merged.

Principal peaks in the range 2θ = 10–80°, low angle first:
two_theta	I (rel.)
16.22	21
27.49	100
35.14	14
35.38	27
40.44	16
53.53	17
53.78	16
53.97	16
54.11	16
56.74	21

```
LiCo3O2F6
1.0
4.601 0.000 0.000
0.026 5.506 0.000
0.105 1.271 10.138
Li Co O F
2 6 4 12
Cartesian
0.000 0.000 0.000
2.353 0.636 5.069
0.066 3.389 5.069
0.167 1.803 2.479
2.239 2.433 7.564
2.314 2.753 0.000
2.493 4.344 2.574
4.566 4.975 7.660
0.973 3.463 6.821
1.457 2.801 1.709
3.275 3.976 8.429
3.760 3.314 3.318
0.986 5.159 9.350
0.958 1.799 4.317
1.085 5.555 1.888
1.367 6.210 6.922
1.487 2.422 9.398
1.463 4.490 4.316
3.270 2.287 5.822
3.245 4.355 0.741
3.366 0.567 3.217
3.648 1.222 8.250
3.775 4.978 5.822
3.747 1.618 0.788
```

No. 8
Structure and computed XRD peak list of Li3MnP2H2O9 (the GGA+U geometry in the Materials Project; CuKα).
Lines closer than 0.1° are merged.

Principal peaks in the range 2θ = 10–80°, low angle first:
two_theta	I (rel.)
12.23	98
12.98	60
18.98	100
26.24	58
27.50	46
28.19	68
28.54	80
29.34	60
35.59	62
36.70	48

```
Li3MnP2H2O9
1.0
7.244 -3.520 0.000
7.244 3.520 0.000
-0.235 0.000 6.819
Li Mn P H O
6 2 4 4 18
Cartesian
3.504 1.760 3.409
7.244 1.872 0.000
5.382 0.000 2.054
3.504 -1.760 3.409
8.870 0.000 4.765
7.244 -1.872 0.000
3.622 1.760 0.000
3.622 -1.760 0.000
1.569 0.000 4.623
5.516 0.000 5.211
8.736 0.000 1.608
12.683 0.000 2.196
0.641 0.000 2.417
2.658 0.000 1.474
11.594 0.000 5.345
13.611 0.000 4.402
4.674 2.232 1.836
0.171 0.000 5.295
1.525 0.000 3.034
5.117 1.278 6.062
3.453 0.000 0.891
4.763 0.000 3.876
9.578 2.232 4.983
9.135 1.278 0.757
7.035 0.000 5.171
7.217 0.000 1.648
5.117 -1.278 6.062
4.674 -2.232 1.836
9.488 0.000 2.943
10.799 0.000 5.928
9.135 -1.278 0.757
12.727 0.000 3.785
14.081 0.000 1.524
9.578 -2.232 4.983
```

Question: Number 2 is which compound?
Answer: RbScW2O8